Entry 1:
Diffraction record for CaEr6Se8. The X-ray diffraction stick pattern is simulated, not measured: it uses a cell relaxed with GGA-PBE and copper Kα.
Intensities are scaled so that the largest is 100.

Structural model:
```
CaEr6Se8
1.0
0.000 5.707 5.707
5.707 0.000 5.707
5.707 5.707 0.000
Ca Er Se
1 6 8
direct
0.000 0.000 0.000 Ca
0.000 0.000 0.500 Er
0.000 0.500 0.000 Er
0.000 0.500 0.500 Er
0.500 0.000 0.000 Er
0.500 0.000 0.500 Er
0.500 0.500 0.000 Er
0.250 0.250 0.250 Se
0.256 0.256 0.744 Se
0.256 0.744 0.256 Se
0.256 0.744 0.744 Se
0.744 0.256 0.256 Se
0.744 0.256 0.744 Se
0.744 0.744 0.256 Se
0.750 0.750 0.750 Se
```

The 12 most intense peaks (15° ≤ 2θ ≤ 90°), by intensity:
| 2theta | I/Imax |
| --- | --- |
| 31.35 | 100 |
| 44.93 | 74 |
| 74.33 | 33 |
| 55.80 | 26 |
| 82.87 | 25 |
| 15.53 | 16 |
| 22.03 | 14 |
| 65.41 | 12 |
| 27.06 | 11 |
| 35.16 | 9 |
| 38.65 | 7 |
| 53.23 | 5 |

***

Entry 2:
Diffraction record for NaHgAsCl6. The X-ray diffraction stick pattern is simulated, not measured: it uses a cell relaxed with GGA-PBE and copper Kα.
Intensities are scaled so that the largest is 100.

Structural model:
```
NaHgAsCl6
1.0
7.003 0.000 0.000
-1.001 7.033 0.000
-1.756 -3.751 5.782
Na Hg As Cl
1 1 1 6
direct
0.000 0.000 0.000 Na
0.754 0.591 0.242 Hg
0.050 0.347 0.679 As
0.228 0.140 0.472 Cl
0.228 0.687 0.761 Cl
0.242 0.391 0.022 Cl
0.750 0.927 0.582 Cl
0.759 0.240 0.237 Cl
0.774 0.586 0.900 Cl
```

The 12 most intense peaks (15° ≤ 2θ ≤ 90°), by intensity:
| 2theta | I/Imax |
| --- | --- |
| 16.43 | 100 |
| 15.02 | 79 |
| 20.66 | 67 |
| 43.81 | 62 |
| 27.64 | 51 |
| 25.91 | 49 |
| 27.08 | 47 |
| 23.36 | 44 |
| 24.99 | 42 |
| 25.35 | 42 |
| 24.13 | 41 |
| 19.32 | 39 |

***

Entry 3:
Diffraction record for Li5Ga4Cu2. The X-ray diffraction stick pattern is simulated, not measured: it uses a cell relaxed with GGA-PBE and copper Kα.
Intensities are scaled so that the largest is 100.

Structural model:
```
Li5Ga4Cu2
1.0
14.511 -1.417 0.000
14.511 1.417 0.000
-0.600 0.000 4.157
Li Ga Cu
5 4 2
direct
0.000 0.000 0.000 Li
0.126 0.126 0.626 Li
0.320 0.320 0.821 Li
0.680 0.680 0.179 Li
0.874 0.874 0.374 Li
0.224 0.224 0.723 Ga
0.455 0.455 0.455 Ga
0.545 0.545 0.545 Ga
0.776 0.776 0.277 Ga
0.412 0.412 0.912 Cu
0.588 0.588 0.088 Cu
```

The 12 most intense peaks (15° ≤ 2θ ≤ 90°), by intensity:
| 2theta | I/Imax |
| --- | --- |
| 40.68 | 100 |
| 18.53 | 92 |
| 26.28 | 91 |
| 38.84 | 51 |
| 31.72 | 51 |
| 43.07 | 44 |
| 50.16 | 33 |
| 42.88 | 32 |
| 35.31 | 31 |
| 42.66 | 28 |
| 80.41 | 27 |
| 54.47 | 21 |

***

Entry 4:
Diffraction record for CsCd6As2. The X-ray diffraction stick pattern is simulated, not measured: it uses a cell relaxed with GGA-PBE and copper Kα.
Intensities are scaled so that the largest is 100.

Structural model:
```
CsCd6As2
1.0
4.442 0.000 0.000
0.000 4.442 0.000
0.000 0.000 12.302
Cs Cd As
1 6 2
direct
0.000 0.000 0.000 Cs
0.000 0.000 0.500 Cd
0.000 0.500 0.312 Cd
0.000 0.500 0.688 Cd
0.500 0.000 0.312 Cd
0.500 0.000 0.688 Cd
0.500 0.500 0.500 Cd
0.500 0.500 0.180 As
0.500 0.500 0.820 As
```

The 12 most intense peaks (15° ≤ 2θ ≤ 90°), by intensity:
| 2theta | I/Imax |
| --- | --- |
| 31.99 | 100 |
| 36.02 | 95 |
| 40.62 | 70 |
| 24.72 | 29 |
| 29.65 | 28 |
| 61.56 | 28 |
| 70.92 | 24 |
| 58.80 | 23 |
| 68.52 | 21 |
| 46.91 | 20 |
| 44.17 | 19 |
| 41.07 | 15 |

***

Entry 5:
Diffraction record for CsS6Cl. The X-ray diffraction stick pattern is simulated, not measured: it uses a cell relaxed with GGA-PBE and copper Kα.
Intensities are scaled so that the largest is 100.

Structural model:
```
CsS6Cl
1.0
7.478 -3.775 0.000
7.478 3.775 0.000
-1.914 0.000 6.201
Cs S Cl
1 6 1
direct
0.000 0.000 0.000 Cs
0.021 0.580 0.154 S
0.257 0.257 0.754 S
0.420 0.979 0.846 S
0.580 0.021 0.154 S
0.743 0.743 0.246 S
0.979 0.420 0.846 S
0.000 0.000 0.500 Cl
```

The 12 most intense peaks (15° ≤ 2θ ≤ 90°), by intensity:
| 2theta | I/Imax |
| --- | --- |
| 20.85 | 100 |
| 24.92 | 71 |
| 26.71 | 63 |
| 28.57 | 61 |
| 22.06 | 60 |
| 23.13 | 58 |
| 33.51 | 57 |
| 36.74 | 45 |
| 34.77 | 45 |
| 24.82 | 43 |
| 47.28 | 37 |
| 31.72 | 32 |

***

Entry 6:
Diffraction record for Mn2GeHSe. The X-ray diffraction stick pattern is simulated, not measured: it uses a cell relaxed with GGA-PBE and copper Kα.
Intensities are scaled so that the largest is 100.

Structural model:
```
Mn2GeHSe
1.0
2.724 0.000 0.000
0.000 4.152 0.000
0.000 0.000 6.597
Mn Ge H Se
2 1 1 1
direct
0.000 0.000 0.000 Mn
0.500 0.500 0.126 Mn
0.500 0.000 0.339 Ge
0.500 0.000 0.853 H
0.000 0.500 0.794 Se
```

The 12 most intense peaks (15° ≤ 2θ ≤ 90°), by intensity:
| 2theta | I/Imax |
| --- | --- |
| 48.58 | 100 |
| 35.66 | 91 |
| 25.35 | 68 |
| 46.75 | 64 |
| 43.60 | 48 |
| 41.97 | 46 |
| 57.54 | 44 |
| 34.74 | 39 |
| 87.46 | 20 |
| 83.69 | 19 |
| 82.71 | 14 |
| 66.25 | 13 |

***

Entry 7:
Diffraction record for FeIr8Rh2. The X-ray diffraction stick pattern is simulated, not measured: it uses a cell relaxed with GGA-PBE and copper Kα.
Intensities are scaled so that the largest is 100.

Structural model:
```
FeIr8Rh2
1.0
6.941 -1.922 0.000
6.941 1.922 0.000
-1.601 0.000 5.873
Fe Ir Rh
1 8 2
direct
0.000 0.000 0.000 Fe
0.090 0.090 0.454 Ir
0.180 0.180 0.907 Ir
0.366 0.366 0.821 Ir
0.456 0.456 0.269 Ir
0.544 0.544 0.731 Ir
0.634 0.634 0.179 Ir
0.820 0.820 0.093 Ir
0.910 0.910 0.546 Ir
0.272 0.272 0.362 Rh
0.728 0.728 0.638 Rh
```

The 12 most intense peaks (15° ≤ 2θ ≤ 90°), by intensity:
| 2theta | I/Imax |
| --- | --- |
| 40.61 | 100 |
| 47.21 | 33 |
| 69.03 | 31 |
| 83.24 | 26 |
| 47.30 | 16 |
| 83.37 | 13 |
| 87.90 | 11 |
| 27.58 | 3 |
| 22.61 | 2 |
| 17.27 | 2 |
| 26.62 | 2 |
| 30.69 | 2 |

***

Entry 8:
Diffraction record for Ti20Co3B6. The X-ray diffraction stick pattern is simulated, not measured: it uses a cell relaxed with GGA-PBE and copper Kα.
Intensities are scaled so that the largest is 100.

Structural model:
```
Ti20Co3B6
1.0
0.000 5.898 5.898
5.898 0.000 5.898
5.898 5.898 0.000
Ti Co B
20 3 6
direct
0.000 0.000 0.335 Ti
0.000 0.000 0.665 Ti
0.000 0.335 0.000 Ti
0.000 0.335 0.665 Ti
0.000 0.665 0.000 Ti
0.000 0.665 0.335 Ti
0.129 0.624 0.624 Ti
0.335 0.000 0.000 Ti
0.335 0.000 0.665 Ti
0.335 0.665 0.000 Ti
0.376 0.376 0.376 Ti
0.376 0.376 0.871 Ti
0.376 0.871 0.376 Ti
0.624 0.129 0.624 Ti
0.624 0.624 0.129 Ti
0.624 0.624 0.624 Ti
0.665 0.000 0.000 Ti
0.665 0.000 0.335 Ti
0.665 0.335 0.000 Ti
0.871 0.376 0.376 Ti
0.000 0.000 0.000 Co
0.250 0.250 0.250 Co
0.750 0.750 0.750 Co
0.280 0.280 0.720 B
0.280 0.720 0.280 B
0.280 0.720 0.720 B
0.720 0.280 0.280 B
0.720 0.280 0.720 B
0.720 0.720 0.280 B
```

The 12 most intense peaks (15° ≤ 2θ ≤ 90°), by intensity:
| 2theta | I/Imax |
| --- | --- |
| 39.70 | 100 |
| 37.34 | 37 |
| 43.39 | 26 |
| 67.35 | 22 |
| 45.49 | 21 |
| 33.99 | 20 |
| 79.63 | 18 |
| 46.17 | 15 |
| 68.94 | 14 |
| 81.12 | 8 |
| 51.38 | 8 |
| 63.04 | 6 |

***

Entry 9:
Diffraction record for Dy2Ga3Tc. The X-ray diffraction stick pattern is simulated, not measured: it uses a cell relaxed with GGA-PBE and copper Kα.
Intensities are scaled so that the largest is 100.

Structural model:
```
Dy2Ga3Tc
1.0
2.751 1.588 4.364
-2.751 1.588 4.364
0.000 -3.177 4.364
Dy Ga Tc
2 3 1
direct
0.129 0.129 0.129 Dy
0.871 0.871 0.871 Dy
0.000 0.500 0.500 Ga
0.500 0.000 0.500 Ga
0.500 0.500 0.000 Ga
0.500 0.500 0.500 Tc
```

The 12 most intense peaks (15° ≤ 2θ ≤ 90°), by intensity:
| 2theta | I/Imax |
| --- | --- |
| 38.69 | 100 |
| 32.55 | 56 |
| 39.26 | 39 |
| 33.21 | 37 |
| 38.40 | 35 |
| 62.20 | 25 |
| 40.28 | 24 |
| 68.17 | 22 |
| 69.71 | 20 |
| 62.60 | 19 |
| 58.49 | 15 |
| 58.07 | 11 |

***

Entry 10:
Diffraction record for SrYbAl2Si2N5O2. The X-ray diffraction stick pattern is simulated, not measured: it uses a cell relaxed with GGA-PBE and copper Kα.
Intensities are scaled so that the largest is 100.

Structural model:
```
SrYbAl2Si2N5O2
1.0
6.057 0.000 0.000
3.021 5.313 0.000
0.086 -0.031 10.022
Sr Yb Al Si N O
2 2 4 4 10 4
direct
0.000 0.000 0.000 Sr
0.324 0.335 0.528 Sr
0.000 0.001 0.636 Yb
0.331 0.333 0.135 Yb
0.331 0.817 0.328 Al
0.501 0.006 0.832 Al
0.812 0.845 0.331 Al
0.840 0.332 0.328 Al
0.006 0.481 0.830 Si
0.475 0.519 0.832 Si
0.664 0.662 0.568 Si
0.666 0.671 0.065 Si
0.163 0.643 0.779 N
0.171 0.175 0.776 N
0.361 0.772 0.510 N
0.476 0.557 0.001 N
0.564 0.972 0.011 N
0.664 0.661 0.245 N
0.667 0.653 0.756 N
0.761 0.869 0.514 N
0.861 0.363 0.509 N
0.970 0.480 0.002 N
0.137 0.686 0.276 O
0.162 0.137 0.269 O
0.633 0.212 0.781 O
0.680 0.167 0.278 O
```

The 12 most intense peaks (15° ≤ 2θ ≤ 90°), by intensity:
| 2theta | I/Imax |
| --- | --- |
| 31.63 | 100 |
| 29.21 | 73 |
| 34.46 | 54 |
| 34.38 | 47 |
| 31.84 | 47 |
| 19.07 | 43 |
| 18.93 | 38 |
| 29.50 | 35 |
| 17.70 | 29 |
| 60.57 | 28 |
| 16.85 | 24 |
| 35.20 | 23 |

***

Entry 11:
Diffraction record for KNa2TeSe4. The X-ray diffraction stick pattern is simulated, not measured: it uses a cell relaxed with GGA-PBE and copper Kα.
Intensities are scaled so that the largest is 100.

Structural model:
```
KNa2TeSe4
1.0
-3.927 4.714 6.173
3.927 -4.714 6.173
3.927 4.714 -6.173
K Na Te Se
2 4 2 8
direct
0.000 0.000 0.000 K
0.500 0.000 0.500 K
0.000 0.500 0.500 Na
0.500 0.000 0.000 Na
0.500 0.500 0.000 Na
0.500 0.500 0.500 Na
0.000 0.000 0.500 Te
0.000 0.500 0.000 Te
0.215 0.746 0.469 Se
0.223 0.254 0.969 Se
0.233 0.276 0.543 Se
0.233 0.690 0.957 Se
0.767 0.310 0.043 Se
0.767 0.724 0.457 Se
0.777 0.746 0.031 Se
0.785 0.254 0.531 Se
```

The 12 most intense peaks (15° ≤ 2θ ≤ 90°), by intensity:
| 2theta | I/Imax |
| --- | --- |
| 29.61 | 100 |
| 41.87 | 72 |
| 28.93 | 57 |
| 48.61 | 25 |
| 38.19 | 24 |
| 37.37 | 17 |
| 68.26 | 14 |
| 55.47 | 13 |
| 52.58 | 12 |
| 46.24 | 11 |
| 69.34 | 10 |
| 71.54 | 9 |

***

Entry 12:
Diffraction record for Ca3Cd9Ni2. The X-ray diffraction stick pattern is simulated, not measured: it uses a cell relaxed with GGA-PBE and copper Kα.
Intensities are scaled so that the largest is 100.

Structural model:
```
Ca3Cd9Ni2
1.0
-2.411 5.263 6.321
2.411 -5.263 6.321
2.411 5.263 -6.321
Ca Cd Ni
3 9 2
direct
0.000 0.000 0.000 Ca
0.299 0.299 0.000 Ca
0.701 0.701 0.000 Ca
0.009 0.368 0.641 Cd
0.151 0.870 0.281 Cd
0.273 0.632 0.641 Cd
0.412 0.130 0.281 Cd
0.500 0.000 0.500 Cd
0.588 0.870 0.719 Cd
0.727 0.368 0.359 Cd
0.849 0.130 0.719 Cd
0.991 0.632 0.359 Cd
0.365 0.500 0.865 Ni
0.635 0.500 0.135 Ni
```

The 12 most intense peaks (15° ≤ 2θ ≤ 90°), by intensity:
| 2theta | I/Imax |
| --- | --- |
| 33.01 | 100 |
| 39.66 | 73 |
| 42.84 | 72 |
| 37.29 | 62 |
| 31.53 | 38 |
| 35.00 | 31 |
| 65.61 | 29 |
| 28.24 | 27 |
| 50.68 | 27 |
| 20.25 | 27 |
| 16.84 | 22 |
| 22.73 | 17 |